Diffraction record for MnBi2O5. The powder diffractogram is calculated, not measured: it uses a DFT-relaxed cell (GGA+U, Alexandria) and λ = 1.5418 Å (Cu Kα).
Neutral-atom scattering factors, no anomalous dispersion.

Structure:
abc: 7.994 3.774 15.290
angles: 90.00 90.00 90.00
Atoms (fractional coordinates):
Mn (0.081, 0.250, 0.068)
Mn (0.419, 0.750, 0.568)
Mn (0.581, 0.250, 0.432)
Mn (0.919, 0.750, 0.932)
Bi (0.142, 0.250, 0.427)
Bi (0.183, 0.250, 0.744)
Bi (0.317, 0.750, 0.244)
Bi (0.358, 0.750, 0.927)
Bi (0.642, 0.250, 0.073)
Bi (0.683, 0.250, 0.756)
Bi (0.817, 0.750, 0.256)
Bi (0.858, 0.750, 0.573)
O (0.067, 0.750, 0.041)
O (0.080, 0.750, 0.331)
O (0.123, 0.750, 0.855)
O (0.211, 0.250, 0.175)
O (0.215, 0.750, 0.505)
O (0.285, 0.250, 0.005)
O (0.289, 0.750, 0.675)
O (0.377, 0.250, 0.355)
O (0.420, 0.250, 0.831)
O (0.433, 0.250, 0.541)
O (0.567, 0.750, 0.459)
O (0.580, 0.750, 0.169)
O (0.623, 0.750, 0.645)
O (0.711, 0.250, 0.325)
O (0.715, 0.750, 0.995)
O (0.785, 0.250, 0.495)
O (0.789, 0.750, 0.825)
O (0.877, 0.250, 0.145)
O (0.920, 0.250, 0.669)
O (0.933, 0.250, 0.959)

The 12 most intense peaks (2θ = 15–90°), by angle:
index, Position (°2θ), d (Å), Rel. int.
1 0 2, 16.04, 5.525, 17
1 0 4, 25.84, 3.448, 15
1 1 1, 26.77, 3.331, 15
2 0 3, 28.38, 3.145, 83
0 1 3, 29.45, 3.033, 100
2 1 0, 32.63, 2.744, 48
0 0 6, 35.23, 2.547, 31
2 1 3, 37.21, 2.416, 13
3 1 4, 48.11, 1.891, 17
0 2 0, 48.23, 1.887, 19
2 1 6, 48.77, 1.867, 39
2 2 3, 56.91, 1.618, 24